NaHgOsCl6: computed powder diffractogram (Cu Kα), based on the GGA-PBE geometry in Alexandria.
Neutral-atom scattering factors, no anomalous dispersion.

Lattice parameters (Å, degrees): 6.770 6.770 11.474 90.00 90.00 120.00
Fractional positions:
1 Na 0.333 0.667 0.250
2 Na 0.667 0.333 0.750
3 Hg 0.000 0.000 0.000
4 Hg 0.000 0.000 0.500
5 Os 0.333 0.667 0.750
6 Os 0.667 0.333 0.250
7 Cl 0.045 0.388 0.631
8 Cl 0.045 0.658 0.869
9 Cl 0.342 0.388 0.869
10 Cl 0.342 0.955 0.631
11 Cl 0.388 0.045 0.131
12 Cl 0.388 0.342 0.369
13 Cl 0.612 0.658 0.631
14 Cl 0.612 0.955 0.869
15 Cl 0.658 0.045 0.369
16 Cl 0.658 0.612 0.131
17 Cl 0.955 0.342 0.131
18 Cl 0.955 0.612 0.369

Peak list (8 most intense, 2θ = 10–90°, sorted by position)
d/Å  2theta  Rel. int.  index
5.221  17.0  52  1 0 1
4.101  21.7  100  1 0 2
3.385  26.3  32  1 1 0
2.611  34.4  31  2 0 2
2.189  41.3  51  1 1 4
2.067  43.8  33  2 1 2
1.954  46.5  22  3 0 0
1.565  59.0  14  4 -1 2